Starting from the PBE geometry in Alexandria, the X-ray powder pattern of PaGaCu4 was computed for Cu Kα, 1.54184 Å.
Kinematic intensities with the Lorentz-polarization factor, no thermal factor.

```
PaGaCu4
1.0
6.394 0.000 0.000
0.000 4.141 0.000
0.000 0.000 7.188
Pa Ga Cu
2 2 8
Direct
0.250 0.000 0.135
0.750 0.000 0.865
0.250 0.000 0.739
0.750 0.000 0.261
0.000 0.000 0.500
0.049 0.500 0.822
0.250 0.500 0.449
0.451 0.500 0.822
0.500 0.000 0.500
0.549 0.500 0.178
0.750 0.500 0.551
0.951 0.500 0.178
```

Top 10 peaks for 2θ = 10–80°, in order of falling intensity:
2θ/deg	intensity	index
37.7	100.0	2 1 1
35.9	99.7	1 1 2
43.7	51.9	2 1 2
43.7	51.4	0 2 0
28.5	47.3	1 0 2
35.5	40.5	2 1 0
37.5	40.0	0 0 3
40.2	27.1	1 0 3
70.9	26.1	1 1 5
59.0	25.2	0 2 3